Diffraction record for La2Sb7Rh12. The X-ray diffraction stick pattern is calculated, not measured: it uses DFT lattice parameters and positions (GGA-PBE) and Cu Ka.
Lines closer than 0.1° are merged.

Atomic structure:
Cell: 10.553 10.553 4.139 Å, 90.00 90.00 120.00°
Fractional positions:
La (0.333, 0.667, 0.246)
La (0.667, 0.333, 0.754)
Sb (0.000, 0.000, 0.500)
Sb (0.111, 0.710, 0.747)
Sb (0.290, 0.401, 0.747)
Sb (0.401, 0.111, 0.253)
Sb (0.599, 0.889, 0.747)
Sb (0.710, 0.599, 0.253)
Sb (0.889, 0.290, 0.253)
Rh (0.063, 0.442, 0.751)
Rh (0.120, 0.264, 0.244)
Rh (0.143, 0.880, 0.244)
Rh (0.264, 0.143, 0.756)
Rh (0.379, 0.937, 0.751)
Rh (0.442, 0.379, 0.249)
Rh (0.558, 0.621, 0.751)
Rh (0.621, 0.063, 0.249)
Rh (0.736, 0.857, 0.244)
Rh (0.857, 0.120, 0.756)
Rh (0.880, 0.736, 0.756)
Rh (0.937, 0.558, 0.249)

Largest 8 diffraction maxima, by angle, 2θ = 10–90°:
2θ (°)  I (rel.)
33.80  1000
41.79  260
43.74  221
45.34  146
45.48  289
48.68  126
64.94  144
76.51  125

Diffraction record for LaSbRh3. The X-ray diffraction stick pattern is calculated, not measured: it uses DFT lattice parameters and positions (GGA-PBE) and Cu Ka.
Lines closer than 0.1° are merged.

Atomic structure:
Cell: 6.570 6.570 6.570 Å, 128.93 107.30 94.26°
Fractional positions:
La (0.260, 0.010, 0.250)
La (0.740, 0.990, 0.750)
Sb (0.000, 0.500, 0.500)
Sb (0.500, 0.500, 0.000)
Rh (0.051, 0.301, 0.750)
Rh (0.301, 0.000, 0.801)
Rh (0.301, 0.500, 0.301)
Rh (0.699, 0.000, 0.199)
Rh (0.699, 0.500, 0.699)
Rh (0.949, 0.699, 0.250)

Largest 8 diffraction maxima, by angle, 2θ = 10–90°:
2θ (°)  I (rel.)
29.58  1000
35.18  317
36.02  416
37.60  767
39.34  388
40.35  525
41.35  934
44.44  369